# 1
Dy5Cd2OsRh2: calculated XRD peak list (Cu Kα), based on a cell relaxed with GGA-PBE.
Intensities are scaled so that the largest is 100.

Most intense lines, 5 to 70 degrees two-theta, sorted by position:
2θ (°), I (rel.)
31.9, 40
33.5, 19
34.7, 18
35.3, 100
37.9, 32
51.7, 16

Crystal structure
Cell: 11.568 11.568 3.536 Å, 90.00 90.00 90.00°
Space group P4/mbm (No. 127)
Symmetry-distinct sites (fractional):
Dy: 0.000 0.500 0.000 [2 per cell]
Dy: 0.066 0.194 0.000 [8 per cell]
Cd: 0.179 0.679 0.500 [4 per cell]
Os: 0.000 0.000 0.500 [2 per cell]
Rh: 0.132 0.368 0.500 [4 per cell]

---

# 2
Dy2Cd16Pb: calculated XRD peak list (Cu Kα), based on a cell relaxed with GGA-PBE.
Intensities are scaled so that the largest is 100.

Most intense lines, 5 to 70 degrees two-theta, sorted by position:
2θ (°), I (rel.)
30.2, 45
35.0, 42
35.4, 100
36.6, 44
39.7, 40
65.2, 24

Crystal structure
Cell: 10.2595 10.2595 14.7150 Å, 90.00 90.00 120.00°
Space group R3m (No. 160, hexagonal axes)
Symmetry-distinct sites (fractional):
Dy: 0.0000 0.0000 0.0000 [3 per cell]
Dy: 0.0000 0.0000 0.3387 [3 per cell]
Cd: 0.0000 0.0000 0.5711 [3 per cell]
Cd: 0.0048 0.3183 0.6728 [18 per cell]
Cd: 0.0105 0.5052 0.5223 [9 per cell]
Cd: 0.0339 0.5169 0.1662 [9 per cell]
Cd: 0.0536 0.5268 0.8307 [9 per cell]
Pb: 0.0000 0.0000 0.7734 [3 per cell]